This entry pairs a crystal structure of NaSrGa2Au5 with its computed powder diffractogram. Radiation: Cu Kα (weighted mean of Kα1 and Kα2). Structure: a cell relaxed with PBE.
Intensities are scaled so that the largest is 100.

Crystal structure
a b c (Å): 4.719 4.719 8.879
angles (deg): 90.00 90.00 90.00
Space group P4/mmm (No. 123)
Inequivalent atoms, fractional coordinates:
Na 0.000 0.000 0.000 x1
Sr 0.000 0.000 0.500 x1
Ga 0.500 0.500 0.145 x2
Au 0.000 0.500 0.263 x4
Au 0.500 0.500 0.500 x1

The 6 most intense peaks (5 to 70 degrees two-theta), in order of rising 2θ:
(0 0 1), 10.0°, rel. 20.1
(0 0 2), 20.0°, rel. 20.2
(1 1 2), 33.6°, rel. 100.0
(2 0 0), 38.1°, rel. 49.9
(1 1 3), 40.8°, rel. 18.8
(3 1 2), 66.1°, rel. 29.0



This entry pairs a crystal structure of SrGa11Pd with its computed powder diffractogram. Radiation: Cu Kα (weighted mean of Kα1 and Kα2). Structure: a cell relaxed with PBE.
Intensities are scaled so that the largest is 100.

Crystal structure
a b c (Å): 5.145 12.537 8.285
angles (deg): 90.00 108.03 90.00
Space group C2/m (No. 12)
Inequivalent atoms, fractional coordinates:
Sr 0.000 0.000 0.000 x2
Ga 0.000 0.500 0.500 x2
Ga 0.115 0.391 0.235 x8
Ga 0.169 0.177 0.364 x8
Ga 0.250 0.250 0.000 x4
Pd 0.000 0.000 0.500 x2

The 6 most intense peaks (5 to 70 degrees two-theta), in order of rising 2θ:
(1 3 -2), 32.4°, rel. 45.7
(1 1 2), 34.1°, rel. 83.7
(0 4 2), 36.6°, rel. 100.0
(2 2 -2), 39.6°, rel. 97.4
(1 5 0), 40.4°, rel. 48.3
(2 0 1), 41.9°, rel. 46.0



This entry pairs a crystal structure of PuS2O12 with its computed powder diffractogram. Radiation: Cu Kα (weighted mean of Kα1 and Kα2). Structure: a cell relaxed with PBE.
Intensities are scaled so that the largest is 100.

Crystal structure
a b c (Å): 5.373 14.140 26.579
angles (deg): 90.00 90.00 90.00
Space group Fddd (No. 70, origin choice 2)
Inequivalent atoms, fractional coordinates:
Pu 0.125 0.125 0.125 x8
S 0.125 0.125 0.433 x16
O 0.079 0.042 0.851 x32
O 0.092 0.353 0.715 x32
O 0.104 0.355 0.327 x32

The 6 most intense peaks (5 to 70 degrees two-theta), in order of rising 2θ:
(0 0 4), 13.3°, rel. 83.9
(0 2 2), 14.2°, rel. 51.8
(1 1 1), 18.0°, rel. 44.4
(1 1 3), 20.3°, rel. 100.0
(0 2 6), 23.7°, rel. 51.9
(1 3 3), 27.1°, rel. 40.2



This entry pairs a crystal structure of Zn13Rh2 with its computed powder diffractogram. Radiation: Cu Kα (weighted mean of Kα1 and Kα2). Structure: a cell relaxed with PBE.
Intensities are scaled so that the largest is 100.

Crystal structure
a b c (Å): 5.219 6.637 6.803
angles (deg): 94.20 104.96 100.25
Space group P-1 (No. 2)
Inequivalent atoms, fractional coordinates:
Zn 0.000 0.000 0.000 x1
Zn 0.015 0.611 0.850 x2
Zn 0.093 0.239 0.713 x2
Zn 0.246 0.897 0.666 x2
Zn 0.277 0.530 0.524 x2
Zn 0.379 0.769 0.236 x2
Zn 0.448 0.314 0.083 x2
Rh 0.280 0.142 0.377 x2

The 6 most intense peaks (5 to 70 degrees two-theta), in order of rising 2θ:
(-2 2 1), 41.3°, rel. 95.1
(0 2 2), 41.7°, rel. 85.6
(0 1 -3), 42.2°, rel. 98.5
(0 3 -1), 42.4°, rel. 97.2
(2 0 1), 42.6°, rel. 82.3
(2 1 -2), 43.1°, rel. 100.0



This entry pairs a crystal structure of Pa3Cu3Sb4 with its computed powder diffractogram. Radiation: Cu Kα (weighted mean of Kα1 and Kα2). Structure: a cell relaxed with PBE.
Intensities are scaled so that the largest is 100.

Crystal structure
a b c (Å): 9.567 9.567 9.567
angles (deg): 90.00 90.00 90.00
Space group I-43d (No. 220)
Inequivalent atoms, fractional coordinates:
Pa 0.000 0.250 0.375 x12
Cu 0.000 0.250 0.875 x12
Sb 0.085 0.085 0.085 x16

The 6 most intense peaks (5 to 70 degrees two-theta), in order of rising 2θ:
(2 1 1), 22.8°, rel. 15.0
(3 1 0), 29.5°, rel. 58.0
(3 2 1), 35.1°, rel. 100.0
(4 2 0), 42.2°, rel. 43.2
(4 2 2), 46.5°, rel. 14.3
(6 1 1), 59.6°, rel. 23.2



This entry pairs a crystal structure of CsLiGa2Br8 with its computed powder diffractogram. Radiation: Cu Kα (weighted mean of Kα1 and Kα2). Structure: a cell relaxed with PBE.
Intensities are scaled so that the largest is 100.

Crystal structure
a b c (Å): 6.8785 6.8785 30.4702
angles (deg): 90.00 90.00 120.00
Space group R-3 (No. 148, hexagonal axes)
Inequivalent atoms, fractional coordinates:
Cs 0.0000 0.0000 0.0000 x3
Li 0.0000 0.0000 0.5000 x3
Ga 0.0000 0.0000 0.2448 x6
Br 0.0000 0.0000 0.3225 x6
Br 0.0022 0.6632 0.8884 x18

The 6 most intense peaks (5 to 70 degrees two-theta), in order of rising 2θ:
(0 0 9), 26.3°, rel. 39.9
(2 -1 3), 27.4°, rel. 100.0
(1 1 6), 31.4°, rel. 49.3
(2 -1 12), 44.3°, rel. 36.4
(3 0 0), 45.7°, rel. 36.1
(3 0 9), 53.5°, rel. 32.0



This entry pairs a crystal structure of Zr5P with its computed powder diffractogram. Radiation: Cu Kα (weighted mean of Kα1 and Kα2). Structure: a cell relaxed with PBE.
Intensities are scaled so that the largest is 100.

Crystal structure
a b c (Å): 10.355 3.370 7.637
angles (deg): 90.00 101.49 90.00
Space group Cm (No. 8)
Inequivalent atoms, fractional coordinates:
Zr 0.000 0.000 0.000 x2
Zr 0.057 0.000 0.404 x2
Zr 0.158 0.500 0.745 x2
Zr 0.262 0.500 0.238 x2
Zr 0.370 0.000 0.627 x2
P 0.289 0.000 0.975 x2

The 6 most intense peaks (5 to 70 degrees two-theta), in order of rising 2θ:
(1 1 -1), 29.7°, rel. 44.5
(2 0 2), 32.4°, rel. 64.6
(4 0 -1), 35.0°, rel. 59.0
(1 1 -2), 35.8°, rel. 100.0
(2 0 -3), 36.8°, rel. 42.7
(3 1 0), 37.7°, rel. 72.2



This entry pairs a crystal structure of Na5Cu3As4O16 with its computed powder diffractogram. Radiation: Cu Kα (weighted mean of Kα1 and Kα2). Structure: a cell relaxed with PBE.
Intensities are scaled so that the largest is 100.

Crystal structure
a b c (Å): 6.132 7.748 8.679
angles (deg): 87.09 83.57 71.44
Space group P-1 (No. 2)
Inequivalent atoms, fractional coordinates:
Na 0.000 0.000 0.000 x1
Na 0.200 0.647 0.239 x2
Na 0.392 0.175 0.740 x2
Cu 0.140 0.592 0.885 x2
Cu 0.500 0.500 0.500 x1
As 0.124 0.839 0.575 x2
As 0.455 0.240 0.100 x2
O 0.053 0.839 0.771 x2
O 0.094 0.093 0.562 x2
O 0.102 0.468 0.680 x2
O 0.165 0.564 0.550 x2
O 0.185 0.363 0.007 x2
O 0.354 0.829 0.068 x2
O 0.400 0.764 0.476 x2
O 0.466 0.577 0.828 x2

The 6 most intense peaks (5 to 70 degrees two-theta), in order of rising 2θ:
(0 1 1), 15.7°, rel. 69.4
(1 1 0), 16.2°, rel. 63.2
(1 1 1), 18.3°, rel. 100.0
(-1 1 2), 31.6°, rel. 55.5
(1 0 3), 33.4°, rel. 54.2
(0 1 -3), 33.7°, rel. 83.2



This entry pairs a crystal structure of Mg4AsS2 with its computed powder diffractogram. Radiation: Cu Kα (weighted mean of Kα1 and Kα2). Structure: a cell relaxed with PBE.
Intensities are scaled so that the largest is 100.

Crystal structure
a b c (Å): 4.996 4.996 13.286
angles (deg): 90.00 90.00 90.00
Space group I4/mmm (No. 139)
Inequivalent atoms, fractional coordinates:
Mg 0.000 0.000 0.198 x4
Mg 0.000 0.500 0.000 x4
As 0.000 0.000 0.000 x2
S 0.000 0.000 0.376 x4

The 6 most intense peaks (5 to 70 degrees two-theta), in order of rising 2θ:
(0 0 2), 13.3°, rel. 76.3
(1 1 0), 25.2°, rel. 91.0
(1 0 3), 26.9°, rel. 57.5
(2 0 0), 36.0°, rel. 100.0
(1 0 5), 38.4°, rel. 86.0
(2 1 5), 53.6°, rel. 62.2



This entry pairs a crystal structure of Pr4YAg5 with its computed powder diffractogram. Radiation: Cu Kα (weighted mean of Kα1 and Kα2). Structure: a cell relaxed with PBE.
Intensities are scaled so that the largest is 100.

Crystal structure
a b c (Å): 3.718 3.718 19.167
angles (deg): 90.00 90.00 90.00
Space group P4/mmm (No. 123)
Inequivalent atoms, fractional coordinates:
Pr 0.000 0.000 0.101 x2
Pr 0.000 0.000 0.305 x2
Y 0.000 0.000 0.500 x1
Ag 0.500 0.500 0.000 x1
Ag 0.500 0.500 0.203 x2
Ag 0.500 0.500 0.410 x2

The 6 most intense peaks (5 to 70 degrees two-theta), in order of rising 2θ:
(1 0 5), 33.6°, rel. 100.0
(1 1 0), 34.1°, rel. 49.1
(0 0 10), 47.4°, rel. 8.7
(2 0 0), 49.0°, rel. 17.3
(1 1 10), 59.7°, rel. 17.1
(2 1 5), 60.7°, rel. 34.8



This entry pairs a crystal structure of NpUBe17 with its computed powder diffractogram. Radiation: Cu Kα (weighted mean of Kα1 and Kα2). Structure: a cell relaxed with PBE.
Intensities are scaled so that the largest is 100.

Crystal structure
a b c (Å): 7.7029 7.7029 11.2020
angles (deg): 90.00 90.00 120.00
Space group R3m (No. 160, hexagonal axes)
Inequivalent atoms, fractional coordinates:
Np 0.0000 0.0000 0.0000 x3
U 0.0000 0.0000 0.6883 x3
Be 0.0000 0.0000 0.2465 x3
Be 0.0000 0.0000 0.4417 x3
Be 0.0001 0.2801 0.3440 x18
Be 0.0066 0.5033 0.1856 x9
Be 0.1671 0.3341 0.1776 x9
Be 0.1705 0.3409 0.8357 x9

The 6 most intense peaks (5 to 70 degrees two-theta), in order of rising 2θ:
(1 0 1), 15.5°, rel. 71.4
(1 1 0), 23.1°, rel. 100.0
(0 0 3), 23.8°, rel. 29.8
(1 1 3), 33.4°, rel. 85.9
(3 0 0), 40.6°, rel. 29.0
(3 0 3), 47.6°, rel. 38.6



This entry pairs a crystal structure of HfBe2S with its computed powder diffractogram. Radiation: Cu Kα (weighted mean of Kα1 and Kα2). Structure: a cell relaxed with PBE.
Intensities are scaled so that the largest is 100.

Crystal structure
a b c (Å): 6.682 6.682 4.968
angles (deg): 90.00 90.00 90.00
Space group I-42d (No. 122)
Inequivalent atoms, fractional coordinates:
Hf 0.000 0.000 0.000 x4
Be 0.190 0.250 0.625 x8
S 0.000 0.000 0.500 x4

The 6 most intense peaks (5 to 70 degrees two-theta), in order of rising 2θ:
(1 0 1), 22.3°, rel. 72.7
(2 0 0), 26.7°, rel. 100.0
(2 1 1), 35.0°, rel. 53.4
(2 2 0), 38.1°, rel. 46.9
(1 1 2), 41.0°, rel. 70.2
(3 1 2), 57.2°, rel. 59.4